Computed X-ray powder pattern
Compound: HoLu2Fe2Co7
Radiation: CuKα
Structure: the GGA-PBE geometry in OQMD

Cell and atoms:
Cell lengths 4.9960, 4.9960, 23.6193 Å; angles 90.00, 90.00, 120.00 degrees
Space group R-3m (No. 166, hexagonal axes)
Inequivalent atoms, fractional coordinates:
Ho: 0.0000 0.0000 0.0000
Lu: 0.0000 0.0000 0.1410
Fe: 0.0000 0.0000 0.3347
Co: 0.0000 0.0000 0.5000
Co: 0.0046 0.5023 0.9170

Main lines, most intense first (15° ≤ 2θ ≤ 90°):
d_spacing	two_theta	Rel. int.	h k l
2.109	42.88	100	1 1 6
2.498	35.95	60	1 1 0
2.661	33.68	53	1 0 7
2.154	41.94	41	0 2 1
2.439	36.86	41	0 1 8
1.354	69.40	23	3 0 6
1.968	46.14	23	0 0 12
1.249	76.23	22	2 2 0
1.472	63.18	18	2 1 7
4.256	20.87	16	1 0 1